No. 1
The following is a computed powder diffractogram of CaCrPt. It was derived from a PBE-relaxed structure, using CuKα.
No peak broadening, texture or thermal motion is included.

Peak list (12 most intense, 2θ from 5° to 70°, in order of rising 2θ)
index	2θ/deg	I (rel.)
0 1 1	16.97	419
1 0 1	23.37	993
0 0 2	23.78	456
0 2 0	24.39	331
1 1 2	33.70	517
1 2 1	34.03	1000
0 2 2	34.33	380
0 3 1	38.93	547
2 0 0	40.82	445
1 0 3	41.57	679
1 3 2	49.20	395
2 3 1	57.67	342

Structure:
```
data_CaCrPt
_chemical_formula_sum 'Ca4 Cr4 Pt4'
_space_group_name_H-M_alt 'I m m 2'
_space_group_IT_number 44
_cell_length_a 4.4216
_cell_length_b 7.2987
_cell_length_c 7.4825
_cell_angle_alpha 90.00
_cell_angle_beta 90.00
_cell_angle_gamma 90.00
loop_
_space_group_symop_operation_xyz
'x,y,z'
'-x,-y,z'
'-x,y,z'
'x,-y,z'
'x+1/2,y+1/2,z+1/2'
'-x+1/2,-y+1/2,z+1/2'
'-x+1/2,y+1/2,z+1/2'
'x+1/2,-y+1/2,z+1/2'
loop_
_atom_site_label
_atom_site_fract_x
_atom_site_fract_y
_atom_site_fract_z
Ca1 0.0000 0.0000 0.0000
Ca2 0.0000 0.5000 0.1302
Cr1 0.0000 0.1605 0.4027
Pt1 0.0000 0.3059 0.7192
```

No. 2
The following is a computed powder diffractogram of CaCr2Tc. It was derived from a PBE-relaxed structure, using CuKα.
No peak broadening, texture or thermal motion is included.

Peak list (12 most intense, 2θ from 5° to 70°, in order of rising 2θ)
index	2θ/deg	I (rel.)
0 0 1	9.98	605
0 0 3	30.25	138
1 1 1	36.41	88
0 2 0	40.43	300
1 1 2	40.59	1000
0 0 4	40.72	145
1 1 3	46.86	186
0 2 3	51.32	60
0 0 5	51.56	56
2 0 0	58.74	184
1 1 5	63.79	104
0 2 5	67.50	73

Structure:
```
data_CaCr2Tc
_chemical_formula_sum 'Ca2 Cr4 Tc2'
_space_group_name_H-M_alt 'C m m 2'
_space_group_IT_number 35
_cell_length_a 3.1429
_cell_length_b 4.4621
_cell_length_c 8.8629
_cell_angle_alpha 90.00
_cell_angle_beta 90.00
_cell_angle_gamma 90.00
loop_
_space_group_symop_operation_xyz
'x,y,z'
'-x,-y,z'
'-x,y,z'
'x,-y,z'
'x+1/2,y+1/2,z'
'-x+1/2,-y+1/2,z'
'-x+1/2,y+1/2,z'
'x+1/2,-y+1/2,z'
loop_
_atom_site_label
_atom_site_fract_x
_atom_site_fract_y
_atom_site_fract_z
Ca1 0.0000 0.0000 0.0000
Cr1 0.0000 0.0000 0.4862
Cr2 0.0000 0.5000 0.2952
Tc1 0.0000 0.5000 0.7090
```

No. 3
The following is a computed powder diffractogram of CaCrTe2. It was derived from a PBE-relaxed structure, using CuKα.
No peak broadening, texture or thermal motion is included.

Peak list (12 most intense, 2θ from 5° to 70°, in order of rising 2θ)
index	2θ/deg	I (rel.)
0 0 1	12.47	104
0 0 2	25.09	73
0 1 1	27.35	1000
1 0 2	35.17	606
1 1 0	42.66	397
0 1 3	45.61	201
1 1 2	50.13	73
0 0 4	51.43	212
0 2 2	56.43	146
0 1 4	57.70	78
2 0 3	64.22	71
1 1 4	68.98	235

Structure:
```
data_CaCrTe2
_chemical_formula_sum 'Ca1 Cr1 Te2'
_space_group_name_H-M_alt 'P -3 m 1'
_space_group_IT_number 164
_space_group_name_Hall '-P 3 2"'
_cell_length_a 4.2393
_cell_length_b 4.2393
_cell_length_c 7.0984
_cell_angle_alpha 90.00
_cell_angle_beta 90.00
_cell_angle_gamma 120.00
loop_
_atom_site_label
_atom_site_fract_x
_atom_site_fract_y
_atom_site_fract_z
Ca1 0.0000 0.0000 0.0000
Cr1 0.0000 0.0000 0.5000
Te1 0.3333 0.6667 0.2858
```

No. 4
The following is a computed powder diffractogram of CaTl4Cr. It was derived from a PBE-relaxed structure, using CuKα.
No peak broadening, texture or thermal motion is included.

Peak list (12 most intense, 2θ from 5° to 70°, in order of rising 2θ)
index	2θ/deg	I (rel.)
1 1 1	17.19	805
2 2 0	28.26	34
3 1 1	33.27	1000
2 2 2	34.79	862
4 0 0	40.39	336
3 3 1	44.20	235
4 2 2	50.02	12
5 1 1	53.29	351
4 4 0	58.45	367
5 3 1	61.41	184
5 3 3	68.94	121
6 2 2	69.85	353

Structure:
```
data_CaTl4Cr
_chemical_formula_sum 'Ca4 Tl16 Cr4'
_space_group_name_H-M_alt 'F -4 3 m'
_space_group_IT_number 216
_space_group_name_Hall 'F -4 2 3'
_cell_length_a 8.9325
_cell_length_b 8.9325
_cell_length_c 8.9325
_cell_angle_alpha 90.00
_cell_angle_beta 90.00
_cell_angle_gamma 90.00
loop_
_atom_site_label
_atom_site_fract_x
_atom_site_fract_y
_atom_site_fract_z
Ca1 0.0000 0.0000 0.0000
Tl1 0.1246 0.1246 0.3754
Cr1 0.2500 0.2500 0.7500
```

No. 5
The following is a computed powder diffractogram of Ca4ZnCr. It was derived from a PBE-relaxed structure, using CuKα.
No peak broadening, texture or thermal motion is included.

Peak list (12 most intense, 2θ from 5° to 70°, in order of rising 2θ)
index	2θ/deg	I (rel.)
1 1 1	16.34	6
2 0 0	18.89	8
2 2 0	26.84	400
3 1 1	31.58	1000
2 2 2	33.03	282
4 0 0	38.32	9
4 2 2	47.40	158
5 1 1	50.47	325
4 4 0	55.31	258
6 2 0	62.52	64
5 3 3	65.10	105
6 2 2	65.95	94

Structure:
```
data_Ca4ZnCr
_chemical_formula_sum 'Ca16 Zn4 Cr4'
_space_group_name_H-M_alt 'F -4 3 m'
_space_group_IT_number 216
_space_group_name_Hall 'F -4 2 3'
_cell_length_a 9.3957
_cell_length_b 9.3957
_cell_length_c 9.3957
_cell_angle_alpha 90.00
_cell_angle_beta 90.00
_cell_angle_gamma 90.00
loop_
_atom_site_label
_atom_site_fract_x
_atom_site_fract_y
_atom_site_fract_z
Ca1 0.1249 0.1249 0.1249
Zn1 0.0000 0.0000 0.5000
Cr1 0.2500 0.2500 0.7500
```

No. 6
The following is a computed powder diffractogram of CaZn2Cr. It was derived from a PBE-relaxed structure, using CuKα.
No peak broadening, texture or thermal motion is included.

Peak list (12 most intense, 2θ from 5° to 70°, in order of rising 2θ)
index	2θ/deg	I (rel.)
0 0 1	17.57	814
2 0 -2	33.17	208
1 1 1	33.28	413
0 0 2	35.57	169
1 1 -2	37.80	252
2 0 1	37.94	125
0 2 0	40.74	1000
0 2 1	44.64	291
3 1 0	44.76	144
1 1 2	48.35	115
0 2 2	55.11	173
1 1 3	66.42	140

Structure:
```
data_CaZn2Cr
_chemical_formula_sum 'Ca2 Zn4 Cr2'
_space_group_name_H-M_alt 'C 1 2/m 1'
_space_group_IT_number 12
_cell_length_a 7.6688
_cell_length_b 4.4320
_cell_length_c 5.6693
_cell_angle_alpha 90.00
_cell_angle_beta 117.07
_cell_angle_gamma 90.00
loop_
_space_group_symop_operation_xyz
'x,y,z'
'-x,-y,-z'
'-x,y,-z'
'x,-y,z'
'x+1/2,y+1/2,z'
'-x+1/2,-y+1/2,-z'
'-x+1/2,y+1/2,-z'
'x+1/2,-y+1/2,z'
loop_
_atom_site_label
_atom_site_fract_x
_atom_site_fract_y
_atom_site_fract_z
Ca1 0.0000 0.0000 0.0000
Zn1 0.2001 0.0000 0.6002
Cr1 0.0000 0.5000 0.5000
```

No. 7
The following is a computed powder diffractogram of CsCa. It was derived from a PBE-relaxed structure, using CuKα.
No peak broadening, texture or thermal motion is included.

Peak list (12 most intense, 2θ from 5° to 70°, in order of rising 2θ)
index	2θ/deg	I (rel.)
0 0 2	11.11	551
0 0 4	22.33	472
1 0 0	24.09	297
1 0 1	24.74	1000
1 0 3	29.46	740
1 0 4	33.08	255
1 0 5	37.27	283
1 1 0	42.38	253
1 0 7	46.90	223
1 1 4	48.42	336
2 0 1	49.70	145
2 0 5	57.73	145

Structure:
```
data_CsCa
_chemical_formula_sum 'Cs2 Ca2'
_space_group_name_H-M_alt 'P 63 m c'
_space_group_IT_number 186
_space_group_name_Hall 'P 6c -2c'
_cell_length_a 4.2651
_cell_length_b 4.2651
_cell_length_c 15.9285
_cell_angle_alpha 90.00
_cell_angle_beta 90.00
_cell_angle_gamma 120.00
loop_
_atom_site_label
_atom_site_fract_x
_atom_site_fract_y
_atom_site_fract_z
Cs1 0.3333 0.6667 0.0000
Ca1 0.3333 0.6667 0.7398
```

No. 8
The following is a computed powder diffractogram of CsCa2Cu2. It was derived from a PBE-relaxed structure, using CuKα.
No peak broadening, texture or thermal motion is included.

Peak list (12 most intense, 2θ from 5° to 70°, in order of rising 2θ)
index	2θ/deg	I (rel.)
0 0 2	14.41	108
1 1 0	24.51	394
1 0 3	27.85	604
1 1 2	28.55	1000
2 0 0	34.94	588
1 0 5	40.68	433
2 1 3	45.26	313
2 2 0	50.24	199
2 1 5	54.68	353
3 1 2	58.81	238
3 0 5	66.56	96
3 2 3	69.91	83

Structure:
```
data_CsCa2Cu2
_chemical_formula_sum 'Cs2 Ca4 Cu4'
_space_group_name_H-M_alt 'I 4/m m m'
_space_group_IT_number 139
_space_group_name_Hall '-I 4 2'
_cell_length_a 5.1360
_cell_length_b 5.1360
_cell_length_c 12.2946
_cell_angle_alpha 90.00
_cell_angle_beta 90.00
_cell_angle_gamma 90.00
loop_
_atom_site_label
_atom_site_fract_x
_atom_site_fract_y
_atom_site_fract_z
Cs1 0.0000 0.0000 0.0000
Ca1 0.0000 0.5000 0.2500
Cu1 0.0000 0.0000 0.3941
```

No. 9
The following is a computed powder diffractogram of Cs4Ca3F10. It was derived from a PBE-relaxed structure, using CuKα.
No peak broadening, texture or thermal motion is included.

Peak list (12 most intense, 2θ from 5° to 70°, in order of rising 2θ)
index	2θ/deg	I (rel.)
1 0 1	19.60	194
0 0 8	21.31	114
1 0 7	27.03	1000
1 1 0	27.60	609
1 1 8	35.13	400
0 0 14	37.76	172
2 0 0	39.43	440
1 1 14	47.41	164
2 1 7	48.46	398
2 0 14	55.74	202
2 2 0	56.99	138
3 1 0	64.46	107

Structure:
```
data_Cs4Ca3F10
_chemical_formula_sum 'Cs8 Ca6 F20'
_space_group_name_H-M_alt 'I 4/m m m'
_space_group_IT_number 139
_space_group_name_Hall '-I 4 2'
_cell_length_a 4.5708
_cell_length_b 4.5708
_cell_length_c 33.3536
_cell_angle_alpha 90.00
_cell_angle_beta 90.00
_cell_angle_gamma 90.00
loop_
_atom_site_label
_atom_site_fract_x
_atom_site_fract_y
_atom_site_fract_z
Cs1 0.0000 0.0000 0.0680
Cs2 0.0000 0.0000 0.2037
Ca1 0.0000 0.0000 0.3629
Ca2 0.0000 0.0000 0.5000
F1 0.0000 0.0000 0.2941
F2 0.0000 0.0000 0.4312
F3 0.0000 0.5000 0.0000
F4 0.0000 0.5000 0.1383
```

No. 10
The following is a computed powder diffractogram of CsCaH2SeF. It was derived from a PBE-relaxed structure, using CuKα.
No peak broadening, texture or thermal motion is included.

Peak list (12 most intense, 2θ from 5° to 70°, in order of rising 2θ)
index	2θ/deg	I (rel.)
0 1 0	15.06	1000
0 1 1	20.99	552
1 0 -1	24.93	864
1 0 1	25.27	778
1 -1 1	28.45	632
0 0 2	28.82	664
1 1 -1	30.06	348
0 1 -2	32.45	239
0 2 -1	33.51	275
1 -2 0	35.39	332
1 2 0	38.44	335
2 0 0	41.74	279

Structure:
```
data_CsCaH2SeF
_chemical_formula_sum 'Cs1 Ca1 H2 Se1 F1'
_space_group_name_H-M_alt 'P 1'
_space_group_IT_number 1
_cell_length_a 4.3442
_cell_length_b 5.9063
_cell_length_c 6.1971
_cell_angle_alpha 90.85
_cell_angle_beta 90.74
_cell_angle_gamma 94.93
loop_
_space_group_symop_operation_xyz
'x,y,z'
loop_
_atom_site_label
_atom_site_fract_x
_atom_site_fract_y
_atom_site_fract_z
Cs1 0.0000 0.0000 0.0000
Ca1 0.5255 0.3543 0.5555
H1 0.0190 0.3159 0.4747
H2 0.1763 0.7686 0.4770
Se1 0.5113 0.8476 0.4770
F1 0.5347 0.3163 0.8947
```

No. 11
The following is a computed powder diffractogram of CsCaH2SeF. It was derived from a PBE-relaxed structure, using CuKα.
No peak broadening, texture or thermal motion is included.

Peak list (12 most intense, 2θ from 5° to 70°, in order of rising 2θ)
index	2θ/deg	I (rel.)
0 1 0	21.70	547
1 0 0	22.25	548
1 1 1	23.19	579
0 0 2	24.03	580
0 1 -1	26.80	403
1 0 -1	27.00	378
1 1 2	28.13	320
0 1 2	29.29	519
1 0 2	30.21	1000
1 -1 0	37.23	395
1 2 1	38.75	347
2 1 1	39.90	322

Structure:
```
data_CsCaH2SeF
_chemical_formula_sum 'Cs1 Ca1 H2 Se1 F1'
_space_group_name_H-M_alt 'P 1'
_space_group_IT_number 1
_cell_length_a 4.5239
_cell_length_b 4.6614
_cell_length_c 7.8188
_cell_angle_alpha 73.67
_cell_angle_beta 74.76
_cell_angle_gamma 63.47
loop_
_space_group_symop_operation_xyz
'x,y,z'
loop_
_atom_site_label
_atom_site_fract_x
_atom_site_fract_y
_atom_site_fract_z
Cs1 0.0000 0.0000 0.0000
Ca1 0.1654 0.2016 0.4742
H1 0.5731 0.5322 0.2702
H2 0.5849 0.6182 0.3357
Se1 0.7872 0.7984 0.6131
F1 0.2834 0.2899 0.1823
```

No. 12
The following is a computed powder diffractogram of CsCaH2SeF. It was derived from a PBE-relaxed structure, using CuKα.
No peak broadening, texture or thermal motion is included.

Peak list (12 most intense, 2θ from 5° to 70°, in order of rising 2θ)
index	2θ/deg	I (rel.)
0 0 2	11.56	406
0 1 1	22.42	212
1 0 1	24.34	305
0 1 3	27.90	1000
1 0 3	29.48	636
1 1 0	32.26	715
1 1 2	34.38	334
0 1 5	36.62	253
1 0 5	37.88	322
1 1 4	40.14	327
1 2 3	53.95	269
2 1 3	56.73	264

Structure:
```
data_CsCaH2SeF
_chemical_formula_sum 'Cs2 Ca2 H4 Se2 F2'
_space_group_name_H-M_alt 'I m m 2'
_space_group_IT_number 44
_cell_length_a 3.7659
_cell_length_b 4.1050
_cell_length_c 15.3051
_cell_angle_alpha 90.00
_cell_angle_beta 90.00
_cell_angle_gamma 90.00
loop_
_space_group_symop_operation_xyz
'x,y,z'
'-x,-y,z'
'-x,y,z'
'x,-y,z'
'x+1/2,y+1/2,z+1/2'
'-x+1/2,-y+1/2,z+1/2'
'-x+1/2,y+1/2,z+1/2'
'x+1/2,-y+1/2,z+1/2'
loop_
_atom_site_label
_atom_site_fract_x
_atom_site_fract_y
_atom_site_fract_z
Cs1 0.0000 0.0000 0.0000
Ca1 0.0000 0.0000 0.7603
H1 0.1010 0.5000 0.6653
Se1 0.0000 0.0000 0.3453
F1 0.0000 0.5000 0.1607
```

No. 13
The following is a computed powder diffractogram of Cs4Ca3InF12. It was derived from a PBE-relaxed structure, using CuKα.
No peak broadening, texture or thermal motion is included.

Peak list (12 most intense, 2θ from 5° to 70°, in order of rising 2θ)
index	2θ/deg	I (rel.)
1 1 0	13.59	54
2 0 0	19.27	87
2 1 1	23.65	32
2 2 0	27.38	1000
2 2 2	33.70	218
4 0 0	39.11	404
4 2 0	43.95	47
4 2 2	48.40	411
4 4 0	56.50	254
4 4 2	60.27	27
6 2 0	63.91	181
6 2 2	67.43	74

Structure:
```
data_Cs4Ca3InF12
_chemical_formula_sum 'Cs8 Ca6 In2 F24'
_space_group_name_H-M_alt 'I m -3 m'
_space_group_IT_number 229
_space_group_name_Hall '-I 4 2 3'
_cell_length_a 9.2131
_cell_length_b 9.2131
_cell_length_c 9.2131
_cell_angle_alpha 90.00
_cell_angle_beta 90.00
_cell_angle_gamma 90.00
loop_
_atom_site_label
_atom_site_fract_x
_atom_site_fract_y
_atom_site_fract_z
Cs1 0.2500 0.2500 0.2500
Ca1 0.0000 0.0000 0.5000
In1 0.0000 0.0000 0.0000
F1 0.0000 0.0000 0.2536
F2 0.0000 0.2500 0.5000
```

No. 14
The following is a computed powder diffractogram of CsKCaF4. It was derived from a PBE-relaxed structure, using CuKα.
No peak broadening, texture or thermal motion is included.

Peak list (12 most intense, 2θ from 5° to 70°, in order of rising 2θ)
index	2θ/deg	I (rel.)
0 0 2	12.33	345
1 0 1	20.68	452
1 0 3	27.20	1000
1 1 0	28.04	767
1 1 2	30.73	307
1 0 5	37.13	170
0 0 6	37.58	250
1 1 4	37.78	430
2 0 0	40.07	524
1 1 6	47.54	241
2 1 3	49.10	384
2 0 6	56.10	279

Structure:
```
data_CsKCaF4
_chemical_formula_sum 'Cs2 K2 Ca2 F8'
_space_group_name_H-M_alt 'I 4 m m'
_space_group_IT_number 107
_space_group_name_Hall 'I 4 -2'
_cell_length_a 4.5006
_cell_length_b 4.5006
_cell_length_c 14.3604
_cell_angle_alpha 90.00
_cell_angle_beta 90.00
_cell_angle_gamma 90.00
loop_
_atom_site_label
_atom_site_fract_x
_atom_site_fract_y
_atom_site_fract_z
Cs1 0.0000 0.0000 0.0000
K1 0.0000 0.0000 0.7041
Ca1 0.0000 0.0000 0.3478
F1 0.0000 0.0000 0.1927
F2 0.0000 0.0000 0.5092
F3 0.0000 0.5000 0.3416
```